The following is a computed X-ray diffraction stick pattern of Tl7BiH12. It was derived from a cell relaxed with PBE, using λ = 1.5418 Å (Cu Kα).
Kinematic intensities with the Lorentz-polarization factor, no thermal factor.

Principal peaks in the range 10° ≤ 2θ ≤ 90°, by angle:
h k l, d_spacing, 2θ/deg, I (rel.)
1 0 -1, 6.064, 14.6, 757
1 -1 1, 4.523, 19.6, 548
-2 1 1, 3.389, 26.3, 466
1 2 -1, 2.962, 30.2, 481
2 1 -2, 2.768, 32.3, 531
0 1 2, 2.566, 35.0, 1000

Structural model:
```
Tl7BiH12
1.0
7.0767 0.0000 0.0000
-2.3602 7.8390 0.0000
-2.3575 -3.9172 6.7917
Tl Bi H
7 1 12
direct
0.0000 0.0000 0.0000
0.0493 0.4015 0.3555
0.1774 0.8795 0.6537
0.3498 0.1767 0.4748
0.5294 0.7116 0.1776
0.7020 0.2233 0.8768
0.8713 0.5243 0.7002
0.0245 0.6991 0.1766
0.1660 0.3554 0.8615
0.2407 0.3145 0.8268
0.4246 0.6641 0.7829
0.4598 0.3541 0.2141
0.4769 0.0296 0.1468
0.5099 0.7325 0.5245
0.5404 0.6702 0.8227
0.5693 0.3893 0.2081
0.5863 0.0625 0.1398
0.6256 0.7388 0.5656
0.8223 0.0967 0.5353
0.8983 0.0563 0.5022
```

---

The following is a computed X-ray diffraction stick pattern of CsPuSnI6. It was derived from a cell relaxed with PBE, using λ = 1.5418 Å (Cu Kα).
Kinematic intensities with the Lorentz-polarization factor, no thermal factor.

Principal peaks in the range 10° ≤ 2θ ≤ 90°, by angle:
h k l, d_spacing, 2θ/deg, I (rel.)
0 0 1, 8.484, 10.4, 392
1 0 1, 5.438, 16.3, 747
2 -1 1, 3.684, 24.2, 930
2 -1 2, 2.944, 30.4, 1000
3 -1 1, 2.553, 35.1, 329
3 0 0, 2.361, 38.1, 436

Structural model:
```
CsPuSnI6
1.0
8.1799 0.0000 0.0000
-4.0900 7.0840 0.0000
0.0000 0.0000 8.4836
Cs Pu Sn I
1 1 1 6
direct
0.0000 0.0000 0.0000
0.6667 0.3333 0.5000
0.3333 0.6667 0.5000
0.3819 0.0080 0.7170
0.3819 0.3739 0.2830
0.6261 0.0080 0.2830
0.6261 0.6181 0.7170
0.9920 0.3739 0.7170
0.9920 0.6181 0.2830
```